Starting from a structure optimized by DFT (GGA+U), the PXRD pattern of Na6Co2AsC4O16 was computed for Cu Kα X-rays.
Intensities are scaled so that the largest is 100.

Peak list (8 most intense, 2θ = 10–90°, low angle first)
2theta  intensity  index
17.78  24  2 2 0
20.88  100  3 1 1
32.99  88  5 1 1
36.01  72  4 4 0
49.63  17  5 5 3
56.49  36  5 5 5
64.74  16  8 4 4
68.83  17  9 1 5

Atomic structure:
Cell lengths 14.1087, 14.1087, 14.1087 Å; angles 90.00, 90.00, 90.00 degrees
Space group Fd-3 (No. 203, origin choice 2)
Unique sites:
Na 0.0900 0.3750 0.3750 (multiplicity 48)
Co 0.0000 0.0000 0.5000 (multiplicity 16)
As 0.1250 0.1250 0.1250 (multiplicity 8)
C 0.0341 0.0341 0.7159 (multiplicity 32)
O 0.0205 0.1039 0.7745 (multiplicity 96)
O 0.0545 0.0545 0.0545 (multiplicity 32)